LiCo6O7: computed X-ray diffraction stick pattern (Cu Kα), based on a crystal structure in the Materials Project, relaxed with PBE+U.
Lines closer than 0.1° are merged.

Structure:
Cell: 5.202 5.202 5.202 Å, 99.27 99.27 99.27°
Positions (direct):
1 Li 0.000 0.000 0.000
2 Co 0.140 0.571 0.283
3 Co 0.283 0.140 0.571
4 Co 0.429 0.717 0.860
5 Co 0.571 0.283 0.140
6 Co 0.717 0.860 0.429
7 Co 0.860 0.429 0.717
8 O 0.071 0.779 0.634
9 O 0.221 0.366 0.929
10 O 0.366 0.929 0.221
11 O 0.500 0.500 0.500
12 O 0.634 0.071 0.779
13 O 0.779 0.634 0.071
14 O 0.929 0.221 0.366

Peak list (10 most intense, 5 to 70 degrees two-theta, low angle first)
2θ/deg  Rel. int.
17.60  13
22.43  9
27.33  5
28.65  4
36.33  15
36.69  46
42.52  100
43.12  3
61.45  29
61.93  28